No. 1
Computed powder XRD pattern
Compound: MgI2O6
Radiation: a wavelength of 1.5418 Å
Structure: a structure optimized by DFT (GGA-PBE)

Largest 12 diffraction maxima, low angle first, 10 to 80 degrees two-theta:
hkl 1 1 1, 2θ 21.94, intensity 48
hkl 4 0 0, 2θ 24.35, intensity 19
hkl 0 2 0, 2θ 25.49, intensity 30
hkl 3 1 1, 2θ 27.98, intensity 100
hkl 0 0 2, 2θ 33.92, intensity 12
hkl 4 2 0, 2θ 35.54, intensity 15
hkl 0 2 2, 2θ 42.89, intensity 19
hkl 3 3 1, 2θ 46.49, intensity 12
hkl 7 1 1, 2θ 48.66, intensity 22
hkl 4 2 2, 2θ 49.94, intensity 11
hkl 6 0 2, 2θ 50.97, intensity 10
hkl 3 1 3, 2θ 57.13, intensity 12

Structural model:
```
data_MgI2O6
_symmetry_space_group_name_H-M 'P b c n'
_symmetry_Int_Tables_number 60
_symmetry_space_group_name_Hall '-P 2n 2ab'
_cell_length_a 14.6245
_cell_length_b 6.9891
_cell_length_c 5.2852
_cell_angle_alpha 90.00
_cell_angle_beta 90.00
_cell_angle_gamma 90.00
loop_
_atom_site_label
_atom_site_fract_x
_atom_site_fract_y
_atom_site_fract_z
Mg1 0.0000 0.1304 0.2500
I1 0.1487 0.2830 0.7427
O1 0.0787 0.1008 0.9131
O2 0.0799 0.3213 0.4546
O3 0.2407 0.1342 0.6238
```


No. 2
Computed powder XRD pattern
Compound: Pu5InGe4
Radiation: a wavelength of 1.5418 Å
Structure: a structure optimized by DFT (GGA-PBE)

Largest 12 diffraction maxima, low angle first, 10 to 80 degrees two-theta:
hkl 1 0 0, 2θ 22.86, intensity 45
hkl 0 0 5, 2θ 30.02, intensity 9
hkl 1 1 0, 2θ 32.55, intensity 87
hkl 1 0 5, 2θ 38.06, intensity 100
hkl 1 1 5, 2θ 44.86, intensity 13
hkl 2 0 0, 2θ 46.69, intensity 32
hkl 2 1 0, 2θ 52.60, intensity 11
hkl 2 0 5, 2θ 56.51, intensity 7
hkl 2 1 5, 2θ 61.76, intensity 49
hkl 2 2 0, 2θ 68.18, intensity 11
hkl 1 1 10, 2θ 72.16, intensity 10
hkl 3 1 0, 2θ 77.60, intensity 15

Structural model:
```
data_Pu5InGe4
_symmetry_space_group_name_H-M 'P 4/m m m'
_symmetry_Int_Tables_number 123
_symmetry_space_group_name_Hall '-P 4 2'
_cell_length_a 3.8905
_cell_length_b 3.8905
_cell_length_c 14.8829
_cell_angle_alpha 90.00
_cell_angle_beta 90.00
_cell_angle_gamma 90.00
loop_
_atom_site_label
_atom_site_fract_x
_atom_site_fract_y
_atom_site_fract_z
Pu1 0.0000 0.0000 0.0000
Pu2 0.0000 0.0000 0.1919
Pu3 0.0000 0.0000 0.3814
In1 0.5000 0.5000 0.5000
Ge1 0.5000 0.5000 0.0978
Ge2 0.5000 0.5000 0.2881
```


No. 3
Computed powder XRD pattern
Compound: Sc3Te2P
Radiation: a wavelength of 1.5418 Å
Structure: a structure optimized by DFT (GGA-PBE)

Largest 12 diffraction maxima, low angle first, 10 to 80 degrees two-theta:
hkl 2 0 -1, 2θ 26.10, intensity 10
hkl 0 0 2, 2θ 26.67, intensity 10
hkl 2 0 0, 2θ 27.23, intensity 20
hkl 2 0 -2, 2θ 31.38, intensity 100
hkl 1 3 -2, 2θ 34.19, intensity 10
hkl 2 0 2, 2θ 44.60, intensity 33
hkl 3 3 -1, 2θ 45.34, intensity 34
hkl 3 3 1, 2θ 53.37, intensity 8
hkl 4 0 0, 2θ 56.18, intensity 17
hkl 4 0 -4, 2θ 65.49, intensity 9
hkl 3 3 -5, 2θ 73.88, intensity 12
hkl 5 3 -3, 2θ 74.96, intensity 12

Structural model:
```
data_Sc3Te2P
_symmetry_space_group_name_H-M 'C 1 2/m 1'
_symmetry_Int_Tables_number 12
_symmetry_space_group_name_Hall '-C 2y'
_cell_length_a 6.9315
_cell_length_b 11.9951
_cell_length_c 7.0788
_cell_angle_alpha 90.00
_cell_angle_beta 109.12
_cell_angle_gamma 90.00
loop_
_atom_site_label
_atom_site_fract_x
_atom_site_fract_y
_atom_site_fract_z
Sc1 0.2058 0.0000 0.2088
Sc2 0.2455 0.1818 0.7852
Te1 0.0000 0.0000 0.5000
Te2 0.0000 0.3422 0.5000
Te3 0.0000 0.5000 0.0000
P1 0.0000 0.1681 0.0000
```